Diffraction record for AgB. The X-ray powder pattern is calculated, not measured: it uses a DFT-relaxed cell (GGA-PBE, Alexandria) and CuKα.
No peak broadening, texture or thermal motion is included.

Main lines, in order of rising 2θ (2θ = 15–90°):
- (0 2 0), 26.5°, intensity 43
- (2 0 0), 31.4°, intensity 28
- (1 1 1), 34.7°, intensity 100
- (2 2 0), 41.6°, intensity 34
- (1 3 1), 52.3°, intensity 29
- (3 1 1), 58.0°, intensity 21
- (0 2 2), 64.2°, intensity 9
- (3 3 1), 71.4°, intensity 11
- (2 2 2), 73.2°, intensity 9
- (1 5 1), 79.0°, intensity 8

Structure:
```
data_AgB
_chemical_formula_sum 'Ag4 B4'
_space_group_name_H-M_alt 'C c c m'
_space_group_IT_number 66
_space_group_name_Hall '-C 2 2c'
_cell_length_a 5.6991
_cell_length_b 6.7188
_cell_length_c 3.2156
_cell_angle_alpha 90.00
_cell_angle_beta 90.00
_cell_angle_gamma 90.00
loop_
_atom_site_label
_atom_site_type_symbol
_atom_site_fract_x
_atom_site_fract_y
_atom_site_fract_z
Ag1 Ag 0.2500 0.2500 0.0000
B1 B 0.0000 0.0000 0.2500
```